Starting from DFT lattice parameters and positions (PBE+U), the powder X-ray diffraction pattern of LiV3OF11 was calculated for copper Kα.

Structure:
abc: 5.442 6.324 7.641
angles: 68.30 69.66 88.88
Atoms (fractional coordinates):
Li  0.000  0.000  0.000
V  0.379  0.624  0.243
V  0.698  0.364  0.661
V  0.973  0.843  0.508
O  0.019  0.563  0.477
F  0.109  0.825  0.691
F  0.228  0.763  0.055
F  0.323  0.349  0.247
F  0.342  0.904  0.311
F  0.367  0.240  0.831
F  0.548  0.491  0.446
F  0.637  0.663  0.701
F  0.704  0.762  0.064
F  0.814  0.129  0.569
F  0.831  0.250  0.864
F  0.877  0.981  0.291

Largest 8 diffraction maxima, by angle, 10 to 90 degrees two-theta:
- d = 6.606 Å, 13.4 deg, I = 67
- d = 5.570 Å, 15.9 deg, I = 48
- d = 4.999 Å, 17.7 deg, I = 100
- d = 3.606 Å, 24.7 deg, I = 54
- d = 3.514 Å, 25.3 deg, I = 36
- d = 3.437 Å, 25.9 deg, I = 45
- d = 3.393 Å, 26.3 deg, I = 48
- d = 3.156 Å, 28.3 deg, I = 34